Structure and theoretical powder diffraction line list of Cs2GaPtCl6 (DFT lattice parameters and positions (PBE); copper Kα).
Peak positions follow from Bragg's law for the DFT cell and can differ from measured ones.

Crystal structure
Lattice parameters (Å, degrees): 7.380 7.380 7.380 120.36 120.36 89.37
Positions (direct):
Cs (0.250, 0.750, 0.500)
Cs (0.750, 0.250, 0.500)
Ga (0.000, 0.000, 0.000)
Pt (0.500, 0.500, 0.000)
Cl (0.255, 0.255, 0.510)
Cl (0.255, 0.745, 0.000)
Cl (0.273, 0.273, 0.000)
Cl (0.727, 0.727, 0.000)
Cl (0.745, 0.255, 0.000)
Cl (0.745, 0.745, 0.490)

Top 6 peaks for 2θ = 10–80°, low angle first:
- 2θ = 14.73°, rel. 26.5
- 2θ = 24.12°, rel. 100.0
- 2θ = 24.25°, rel. 48.7
- 2θ = 34.57°, rel. 52.7
- 2θ = 42.59°, rel. 45.4
- 2θ = 49.40°, rel. 35.5